For K4LiCr3F12, a cell relaxed with PBE+U gives the theoretical powder diffractogram in this record (CuKα).
Kinematic intensities with the Lorentz-polarization factor, no thermal factor.

Crystal structure
```
K4LiCr3F12
1.0
-4.1532 4.1532 4.1532
4.1532 -4.1532 4.1532
4.1532 4.1532 -4.1532
K Li Cr F
4 1 3 12
Cartesian
2.0766 2.0766 -2.0766 K
2.0766 -2.0766 2.0766 K
-2.0766 2.0766 2.0766 K
2.0766 2.0766 2.0766 K
0.0000 0.0000 0.0000 Li
4.1532 0.0000 0.0000 Cr
0.0000 4.1532 0.0000 Cr
0.0000 0.0000 4.1532 Cr
2.1632 0.0000 0.0000 F
6.1432 0.0000 0.0000 F
4.1532 2.0766 0.0000 F
4.1532 0.0000 2.0766 F
0.0000 2.1632 0.0000 F
0.0000 0.0000 2.1632 F
2.0766 4.1532 0.0000 F
2.0766 0.0000 4.1532 F
0.0000 6.1432 0.0000 F
0.0000 0.0000 6.1432 F
0.0000 4.1532 2.0766 F
0.0000 2.0766 4.1532 F
```

Peak list (6 most intense, 2θ from 15° to 90°, by angle)
| two_theta | d [Å] | I (rel.) |
| --- | --- | --- |
| 15.08 | 5.874 | 26.3 |
| 30.44 | 2.937 | 100.0 |
| 37.51 | 2.398 | 30.7 |
| 43.58 | 2.077 | 85.2 |
| 54.09 | 1.696 | 34.6 |
| 63.34 | 1.468 | 45.3 |